Theoretical X-ray powder pattern of LiV2O3F3 for a wavelength of 1.5418 Å, from a PBE+U-relaxed structure.

Structural model:
a = 5.1192 Å, b = 5.1300 Å, c = 13.5322 Å
α = 88.91°, β = 88.13°, γ = 61.60°
Atoms (fractional coordinates):
Li  0.0000  0.0000  0.0000
Li  0.0913  0.9394  0.5019
Li  0.3893  0.2818  0.8425
V  0.0297  0.9513  0.7191
V  0.0798  0.9511  0.2140
V  0.3648  0.3339  0.0578
V  0.4567  0.2789  0.5417
V  0.6619  0.6428  0.8698
V  0.7431  0.6336  0.3804
O  0.1422  0.2258  0.1307
O  0.3014  0.6595  0.1371
O  0.3802  0.6608  0.7986
O  0.4585  0.5620  0.4646
O  0.6255  0.3572  0.9646
O  0.6726  0.9663  0.4714
O  0.6988  0.2376  0.6303
O  0.7581  0.9094  0.8044
O  0.9664  0.7164  0.3040
F  0.0109  0.2975  0.8014
F  0.0284  0.6012  0.9691
F  0.0616  0.3341  0.4635
F  0.1083  0.6407  0.6196
F  0.2851  0.0518  0.6221
F  0.3789  0.9138  0.3070
F  0.3862  0.9857  0.9574
F  0.7322  0.0384  0.1275
F  0.7910  0.2946  0.2964

Largest 12 diffraction maxima, low angle first, 5 to 70 degrees two-theta:
Position (°2θ), I_rel
23.45, 96.9
23.66, 97.0
24.47, 100.0
32.92, 21.5
33.17, 19.9
33.57, 17.0
39.98, 19.1
47.95, 20.2
48.41, 19.7
50.15, 17.4
53.26, 25.1
54.76, 14.5